This entry pairs a crystal structure of CaHoZnRh with its simulated X-ray powder pattern. Radiation: Cu Kα. Structure: a DFT-relaxed cell (GGA-PBE, Alexandria).
Neutral-atom scattering factors, no anomalous dispersion.

Top 10 peaks for 10° ≤ 2θ ≤ 90°, low angle first:
2θ/deg  I/Imax  (hkl)
22.02  25  1 1 1
36.35  100  2 2 0
42.91  14  3 1 1
52.35  17  4 0 0
57.46  6  3 3 1
65.40  35  4 2 2
69.92  5  5 1 1
77.19  11  4 4 0
81.45  5  5 3 1
88.45  15  6 2 0

Cell and atoms:
a = 6.991 Å, b = 6.991 Å, c = 6.991 Å
α = 90.00°, β = 90.00°, γ = 90.00°
Element x y z (fractional)
Ca 0.000 0.000 0.000
Ca 0.000 0.500 0.500
Ca 0.500 0.000 0.500
Ca 0.500 0.500 0.000
Ho 0.000 0.000 0.500
Ho 0.000 0.500 0.000
Ho 0.500 0.000 0.000
Ho 0.500 0.500 0.500
Zn 0.250 0.250 0.250
Zn 0.250 0.750 0.750
Zn 0.750 0.250 0.750
Zn 0.750 0.750 0.250
Rh 0.250 0.250 0.750
Rh 0.250 0.750 0.250
Rh 0.750 0.250 0.250
Rh 0.750 0.750 0.750